Entry 1:
Diffraction record for Sm3YIr. The powder diffraction line list is calculated, not measured: it uses a PBE-relaxed structure and Cu Kα (λ = 1.5418 Å).

Largest 10 diffraction maxima, sorted by position, 10° ≤ 2θ ≤ 80°:
2theta  I (rel.)
13.4  21
18.1  28
22.6  35
30.2  100
30.5  42
39.2  43
39.5  25
46.8  27
47.4  32
51.3  23

Crystal structure
```
10
Lattice="7.767 0.000 0.000 0.000 6.621 0.000 0.000 0.000 6.310" Properties=species:S:1:pos:R:3 pbc="T T T"
Sm 0.000 1.001 0.000
Sm 1.933 2.074 3.176
Sm 1.950 4.547 0.020
Sm 3.883 5.620 3.155
Sm 5.817 4.547 0.020
Sm 5.834 2.074 3.176
Y 0.000 5.576 3.208
Y 3.883 1.045 0.053
Ir 0.000 3.326 1.596
Ir 3.883 3.296 4.751
```


Entry 2:
Diffraction record for Pu2HfZn16. The powder diffraction line list is calculated, not measured: it uses a PBE-relaxed structure and Cu Kα (λ = 1.5418 Å).

Largest 10 diffraction maxima, sorted by position, 10° ≤ 2θ ≤ 80°:
2theta  I (rel.)
19.6  29
28.0  43
34.2  61
35.2  39
39.7  76
39.9  100
40.3  27
40.6  27
40.7  32
73.0  24

Crystal structure
```
19
Lattice="4.538 2.620 4.474 -4.538 2.620 4.474 0.000 -5.241 4.474" Properties=species:S:1:pos:R:3 pbc="T T T"
Pu 0.000 0.000 0.000
Pu 0.000 0.000 4.408
Hf 0.000 0.000 7.547
Zn 0.000 -2.485 2.357
Zn -2.152 1.243 2.357
Zn -2.327 -1.344 6.608
Zn 0.000 -2.636 6.320
Zn -2.283 1.318 6.320
Zn -1.343 -2.313 8.839
Zn -2.675 -0.007 8.839
Zn 2.152 1.243 2.357
Zn 1.343 -2.313 8.839
Zn -1.332 2.320 8.839
Zn 2.327 -1.344 6.608
Zn 0.000 2.687 6.608
Zn 0.000 0.000 10.362
Zn 2.283 1.318 6.320
Zn 2.675 -0.007 8.839
Zn 1.332 2.320 8.839
```


Entry 3:
Diffraction record for Hg4TeSI2. The powder diffraction line list is calculated, not measured: it uses a PBE-relaxed structure and Cu Kα (λ = 1.5418 Å).

Largest 10 diffraction maxima, sorted by position, 10° ≤ 2θ ≤ 80°:
2theta  I (rel.)
12.1  38
20.0  30
24.3  47
27.2  24
29.2  100
31.7  28
32.1  43
34.6  55
47.9  37
51.2  27

Crystal structure
```
16
Lattice="11.155 0.000 0.000 0.000 7.333 0.000 0.000 0.000 7.329" Properties=species:S:1:pos:R:3 pbc="T T T"
Hg 0.000 0.368 0.000
Hg 0.000 6.759 3.900
Hg 2.677 5.452 1.440
Hg 2.901 1.881 5.105
Hg 5.578 0.574 0.235
Hg 5.578 6.965 3.664
Hg 8.254 1.881 5.105
Hg 8.479 5.452 1.440
Te 0.000 1.976 5.150
Te 5.578 5.357 1.486
S 0.000 5.799 1.515
S 5.578 1.534 5.179
I 2.443 5.493 5.075
I 3.135 1.840 1.411
I 8.021 1.840 1.411
I 8.712 5.493 5.075
```


Entry 4:
Diffraction record for Tl2AgPtF6. The powder diffraction line list is calculated, not measured: it uses a PBE-relaxed structure and Cu Kα (λ = 1.5418 Å).

Largest 10 diffraction maxima, sorted by position, 10° ≤ 2θ ≤ 80°:
2theta  I (rel.)
25.5  30
27.9  100
38.2  24
39.8  14
47.9  10
49.3  15
49.4  15
52.2  14
57.6  13
79.2  11

Crystal structure
```
20
Lattice="3.198 1.847 10.472 -3.198 1.847 10.472 0.000 -3.693 10.472" Properties=species:S:1:pos:R:3 pbc="T T T"
Tl 0.000 0.000 4.368
Tl 0.000 0.000 8.426
Tl 0.000 0.000 22.988
Tl 0.000 0.000 27.047
Ag 0.000 0.000 12.763
Ag 0.000 0.000 18.652
Pt 0.000 0.000 0.000
Pt 0.000 0.000 15.707
F -1.623 -0.937 14.445
F 0.000 -2.080 11.645
F -1.801 1.040 11.645
F -1.801 -1.040 19.770
F 0.000 -1.875 16.970
F -1.623 0.937 16.970
F 1.623 -0.937 14.445
F 0.000 1.875 14.445
F 1.801 1.040 11.645
F 1.801 -1.040 19.770
F 0.000 2.080 19.770
F 1.623 0.937 16.970
```


Entry 5:
Diffraction record for B7C5. The powder diffraction line list is calculated, not measured: it uses a PBE-relaxed structure and Cu Kα (λ = 1.5418 Å).

Largest 10 diffraction maxima, sorted by position, 10° ≤ 2θ ≤ 80°:
2theta  I (rel.)
11.2  100
22.4  41
33.9  5
38.3  11
39.9  17
40.0  5
40.2  8
45.8  10
69.1  4
69.2  7

Crystal structure
```
12
Lattice="8.241 -1.360 0.000 8.241 1.360 0.000 -1.276 0.000 4.523" Properties=species:S:1:pos:R:3 pbc="T T T"
B 0.000 0.000 0.000
B 3.018 0.000 2.642
B 4.312 0.000 4.514
B 7.628 0.000 2.287
B 11.989 0.000 0.425
B 13.144 0.000 2.592
B 14.513 0.000 1.033
C 2.755 0.000 4.192
C 5.481 0.000 3.222
C 6.983 0.000 3.731
C 11.648 0.000 1.968
C 15.989 0.000 1.511
```


Entry 6:
Diffraction record for Pr3CdPb. The powder diffraction line list is calculated, not measured: it uses a PBE-relaxed structure and Cu Kα (λ = 1.5418 Å).

Largest 10 diffraction maxima, sorted by position, 10° ≤ 2θ ≤ 80°:
2theta  I (rel.)
28.5  25
28.8  100
30.0  32
31.9  33
33.0  17
33.6  20
34.2  25
35.2  32
36.4  27
39.9  16

Crystal structure
```
20
Lattice="5.643 -5.986 0.000 5.643 5.986 0.000 -2.985 0.000 9.537" Properties=species:S:1:pos:R:3 pbc="T T T"
Pr 0.421 2.158 5.944
Pr 1.918 4.103 8.601
Pr 4.890 4.103 5.705
Pr 2.426 0.183 3.830
Pr 0.934 -0.183 8.598
Pr 1.914 -2.158 1.176
Pr 6.387 2.158 8.361
Pr 7.367 0.183 0.939
Pr 5.875 -0.183 5.707
Pr 3.411 -4.103 3.832
Pr 6.383 -4.103 0.936
Pr 7.880 -2.158 3.593
Cd 3.940 2.051 1.349
Cd 5.854 2.051 3.419
Cd 2.447 -2.051 6.118
Cd 4.361 -2.051 8.188
Pb 4.897 5.321 2.384
Pb 3.404 1.490 7.153
Pb 4.897 -1.490 2.384
Pb 3.404 -5.321 7.153
```


Entry 7:
Diffraction record for Tm4RuBr5. The powder diffraction line list is calculated, not measured: it uses a PBE-relaxed structure and Cu Kα (λ = 1.5418 Å).

Largest 10 diffraction maxima, sorted by position, 10° ≤ 2θ ≤ 80°:
2theta  I (rel.)
10.6  78
29.6  47
31.0  100
33.7  21
39.1  13
42.2  18
43.1  32
43.6  30
46.4  17
56.0  15

Crystal structure
```
10
Lattice="9.272 -1.956 0.000 9.272 1.956 0.000 -1.846 0.000 8.358" Properties=species:S:1:pos:R:3 pbc="T T T"
Tm -0.340 0.000 1.800
Tm 4.883 0.000 7.757
Tm 11.814 0.000 0.601
Tm 17.038 0.000 6.558
Ru 9.272 0.000 0.000
Br 2.529 0.000 2.729
Br 1.791 0.000 7.077
Br 8.349 0.000 4.179
Br 14.907 0.000 1.281
Br 14.169 0.000 5.629
```


Entry 8:
Diffraction record for RbSr2TmF8. The powder diffraction line list is calculated, not measured: it uses a PBE-relaxed structure and Cu Kα (λ = 1.5418 Å).

Largest 10 diffraction maxima, sorted by position, 10° ≤ 2θ ≤ 80°:
2theta  I (rel.)
10.7  11
26.4  100
30.3  7
30.6  15
43.7  43
43.9  21
51.5  16
51.9  31
54.3  8
70.0  13

Crystal structure
```
12
Lattice="4.128 0.000 0.000 0.000 5.890 0.000 0.000 0.000 8.252" Properties=species:S:1:pos:R:3 pbc="T T T"
Rb 0.000 0.000 0.000
Sr 2.064 2.945 2.053
Sr 2.064 2.945 6.199
Tm 0.000 0.000 4.126
F 0.000 1.462 2.466
F 0.000 1.462 5.786
F 0.000 4.428 2.466
F 0.000 4.428 5.786
F 2.064 1.241 4.126
F 2.064 1.660 0.000
F 2.064 4.230 0.000
F 2.064 4.650 4.126
```


Number 6 is which compound? Pr3CdPb


Which formula does entry 2 have? Pu2HfZn16